The following is a calculated X-ray diffraction stick pattern of Zn3CuAu5. It was derived from a crystal structure in Alexandria, relaxed with GGA-PBE, using Cu Ka.
Intensities are scaled so that the largest is 100.

Cell and atoms:
```
Zn3CuAu5
1.0
4.344 -3.776 0.000
4.344 3.776 0.000
-1.166 0.000 10.216
Zn Cu Au
6 2 10
Direct
0.000 0.000 0.000
0.000 0.000 0.500
0.253 0.253 0.376
0.290 0.290 0.966
0.710 0.710 0.034
0.747 0.747 0.624
0.032 0.032 0.762
0.968 0.968 0.238
0.015 0.592 0.833
0.267 0.267 0.633
0.321 0.679 0.500
0.408 0.985 0.167
0.473 0.473 0.186
0.527 0.527 0.814
0.592 0.015 0.833
0.679 0.321 0.500
0.733 0.733 0.367
0.985 0.408 0.167
```

Largest 12 diffraction maxima, sorted by position, 10° ≤ 2θ ≤ 80°:
- 2θ = 26.17°, d 3.405, intensity 51
- 2θ = 33.35°, d 2.687, intensity 100
- 2θ = 34.97°, d 2.566, intensity 84
- 2θ = 35.50°, d 2.529, intensity 50
- 2θ = 37.99°, d 2.369, intensity 55
- 2θ = 39.76°, d 2.267, intensity 40
- 2θ = 40.48°, d 2.228, intensity 30
- 2θ = 41.83°, d 2.159, intensity 97
- 2θ = 42.95°, d 2.106, intensity 48
- 2θ = 43.16°, d 2.096, intensity 32
- 2θ = 48.20°, d 1.888, intensity 28
- 2θ = 53.81°, d 1.704, intensity 27

The following is a calculated X-ray diffraction stick pattern of ZnCu5Au. It was derived from a crystal structure in Alexandria, relaxed with GGA-PBE, using Cu Ka.
Intensities are scaled so that the largest is 100.

Cell and atoms:
```
ZnCu5Au
1.0
2.544 -3.805 0.000
2.544 3.805 0.000
0.000 0.000 5.214
Zn Cu Au
1 5 1
Direct
0.000 0.000 0.000
0.000 0.500 0.244
0.000 0.500 0.756
0.500 0.000 0.244
0.500 0.000 0.756
0.500 0.500 0.000
0.500 0.500 0.500
```

Largest 12 diffraction maxima, sorted by position, 10° ≤ 2θ ≤ 80°:
- 2θ = 21.01°, d 4.229, intensity 59
- 2θ = 27.15°, d 3.285, intensity 67
- 2θ = 39.71°, d 2.270, intensity 12
- 2θ = 40.66°, d 2.219, intensity 23
- 2θ = 42.01°, d 2.150, intensity 100
- 2θ = 42.76°, d 2.115, intensity 95
- 2θ = 43.48°, d 2.081, intensity 20
- 2θ = 47.81°, d 1.902, intensity 34
- 2θ = 50.10°, d 1.821, intensity 59
- 2θ = 53.53°, d 1.712, intensity 10
- 2θ = 71.76°, d 1.315, intensity 38
- 2θ = 74.61°, d 1.272, intensity 12

The following is a calculated X-ray diffraction stick pattern of Zn2Cu8Au. It was derived from a crystal structure in Alexandria, relaxed with GGA-PBE, using Cu Ka.
Intensities are scaled so that the largest is 100.

Cell and atoms:
```
Zn2Cu8Au
1.0
3.445 -5.807 0.000
3.445 5.807 0.000
-2.493 0.000 3.750
Zn Cu Au
2 8 1
Direct
0.191 0.809 0.000
0.809 0.191 0.000
0.071 0.071 0.309
0.173 0.405 0.863
0.279 0.721 0.500
0.405 0.173 0.863
0.595 0.827 0.137
0.721 0.279 0.500
0.827 0.595 0.137
0.929 0.929 0.691
0.500 0.500 0.500
```

Largest 12 diffraction maxima, sorted by position, 10° ≤ 2θ ≤ 80°:
- 2θ = 15.26°, d 5.807, intensity 25
- 2θ = 28.33°, d 3.150, intensity 29
- 2θ = 31.18°, d 2.869, intensity 29
- 2θ = 35.96°, d 2.497, intensity 33
- 2θ = 39.24°, d 2.296, intensity 80
- 2θ = 40.07°, d 2.250, intensity 100
- 2θ = 40.35°, d 2.235, intensity 36
- 2θ = 42.33°, d 2.135, intensity 68
- 2θ = 43.93°, d 2.061, intensity 97
- 2θ = 44.39°, d 2.041, intensity 84
- 2θ = 49.55°, d 1.839, intensity 25
- 2θ = 51.35°, d 1.779, intensity 30

The following is a calculated X-ray diffraction stick pattern of ZrCuAu3. It was derived from a crystal structure in Alexandria, relaxed with GGA-PBE, using Cu Ka.
Intensities are scaled so that the largest is 100.

Cell and atoms:
```
ZrCuAu3
1.0
4.373 0.000 0.000
0.000 6.748 0.000
0.000 0.000 6.213
Zr Cu Au
2 2 6
Direct
0.250 0.250 0.230
0.750 0.750 0.770
0.250 0.750 0.060
0.750 0.250 0.940
0.250 0.044 0.790
0.250 0.456 0.790
0.250 0.750 0.467
0.750 0.250 0.533
0.750 0.544 0.210
0.750 0.956 0.210
```

Largest 12 diffraction maxima, sorted by position, 10° ≤ 2θ ≤ 80°:
- 2θ = 24.90°, d 3.576, intensity 28
- 2θ = 28.24°, d 3.160, intensity 23
- 2θ = 30.14°, d 2.965, intensity 14
- 2θ = 36.62°, d 2.454, intensity 100
- 2θ = 37.95°, d 2.371, intensity 67
- 2θ = 39.43°, d 2.285, intensity 33
- 2θ = 41.29°, d 2.186, intensity 44
- 2θ = 42.76°, d 2.115, intensity 13
- 2θ = 45.34°, d 2.000, intensity 26
- 2θ = 48.65°, d 1.872, intensity 14
- 2θ = 58.42°, d 1.580, intensity 21
- 2θ = 72.22°, d 1.308, intensity 16

The following is a calculated X-ray diffraction stick pattern of DyEr2Au3. It was derived from a crystal structure in Alexandria, relaxed with GGA-PBE, using Cu Ka.
Intensities are scaled so that the largest is 100.

Cell and atoms:
```
DyEr2Au3
1.0
3.559 0.000 0.000
0.000 3.559 0.000
0.000 0.000 10.844
Dy Er Au
1 2 3
Direct
0.000 0.000 0.000
0.000 0.000 0.334
0.000 0.000 0.666
0.500 0.500 0.170
0.500 0.500 0.500
0.500 0.500 0.830
```

Largest 11 diffraction maxima, sorted by position, 10° ≤ 2θ ≤ 80°:
- 2θ = 24.63°, d 3.615, intensity 1
- 2θ = 25.02°, d 3.559, intensity 1
- 2θ = 35.40°, d 2.536, intensity 100
- 2θ = 35.68°, d 2.516, intensity 49
- 2θ = 43.84°, d 2.065, intensity 1
- 2θ = 50.50°, d 1.807, intensity 9
- 2θ = 51.35°, d 1.779, intensity 18
- 2θ = 63.36°, d 1.468, intensity 19
- 2θ = 63.91°, d 1.457, intensity 37
- 2θ = 74.89°, d 1.268, intensity 12
- 2θ = 75.57°, d 1.258, intensity 6

The following is a calculated X-ray diffraction stick pattern of DyEr2Au4. It was derived from a crystal structure in Alexandria, relaxed with GGA-PBE, using Cu Ka.
Intensities are scaled so that the largest is 100.

Cell and atoms:
```
DyEr2Au4
1.0
3.663 -4.781 0.000
3.663 4.781 0.000
0.000 0.000 4.919
Dy Er Au
1 2 4
Direct
0.000 0.000 0.000
0.286 0.714 0.500
0.714 0.286 0.500
0.000 0.500 0.000
0.210 0.210 0.500
0.500 0.000 0.000
0.790 0.790 0.500
```

Largest 12 diffraction maxima, sorted by position, 10° ≤ 2θ ≤ 80°:
- 2θ = 15.24°, d 5.816, intensity 9
- 2θ = 25.99°, d 3.428, intensity 9
- 2θ = 30.59°, d 2.923, intensity 11
- 2θ = 35.88°, d 2.503, intensity 100
- 2θ = 36.54°, d 2.459, intensity 27
- 2θ = 37.63°, d 2.391, intensity 20
- 2θ = 42.39°, d 2.132, intensity 11
- 2θ = 49.78°, d 1.832, intensity 8
- 2θ = 53.45°, d 1.714, intensity 15
- 2θ = 63.31°, d 1.469, intensity 8
- 2θ = 65.34°, d 1.428, intensity 18
- 2θ = 66.78°, d 1.401, intensity 11

The following is a calculated X-ray diffraction stick pattern of Dy4ErAu5. It was derived from a crystal structure in Alexandria, relaxed with GGA-PBE, using Cu Ka.
Intensities are scaled so that the largest is 100.

Cell and atoms:
```
Dy4ErAu5
1.0
3.564 0.000 0.000
0.000 3.564 0.000
0.000 0.000 18.237
Dy Er Au
4 1 5
Direct
0.000 0.000 0.100
0.000 0.000 0.301
0.000 0.000 0.699
0.000 0.000 0.900
0.000 0.000 0.500
0.500 0.500 0.000
0.500 0.500 0.201
0.500 0.500 0.402
0.500 0.500 0.598
0.500 0.500 0.799
```

Largest 11 diffraction maxima, sorted by position, 10° ≤ 2θ ≤ 80°:
- 2θ = 24.40°, d 3.647, intensity 1
- 2θ = 24.98°, d 3.564, intensity 1
- 2θ = 35.21°, d 2.549, intensity 100
- 2θ = 35.62°, d 2.520, intensity 49
- 2θ = 43.65°, d 2.074, intensity 1
- 2θ = 50.01°, d 1.824, intensity 9
- 2θ = 51.26°, d 1.782, intensity 17
- 2θ = 62.90°, d 1.477, intensity 19
- 2θ = 63.71°, d 1.461, intensity 36
- 2θ = 74.43°, d 1.275, intensity 12
- 2θ = 75.43°, d 1.260, intensity 6

The following is a calculated X-ray diffraction stick pattern of DyErGaAu. It was derived from a crystal structure in Alexandria, relaxed with GGA-PBE, using Cu Ka.
Intensities are scaled so that the largest is 100.

Cell and atoms:
```
DyErGaAu
1.0
0.000 3.590 3.590
3.590 0.000 3.590
3.590 3.590 0.000
Dy Er Ga Au
1 1 1 1
Direct
0.000 0.000 0.000
0.500 0.500 0.500
0.250 0.250 0.250
0.750 0.750 0.750
```

Largest 10 diffraction maxima, sorted by position, 10° ≤ 2θ ≤ 80°:
- 2θ = 21.44°, d 4.145, intensity 10
- 2θ = 24.80°, d 3.590, intensity 1
- 2θ = 35.36°, d 2.538, intensity 100
- 2θ = 41.73°, d 2.165, intensity 6
- 2θ = 50.87°, d 1.795, intensity 18
- 2θ = 55.81°, d 1.647, intensity 2
- 2θ = 63.48°, d 1.466, intensity 37
- 2θ = 67.83°, d 1.382, intensity 2
- 2θ = 74.81°, d 1.269, intensity 11
- 2θ = 78.88°, d 1.214, intensity 2

The following is a calculated X-ray diffraction stick pattern of DyErInAu. It was derived from a crystal structure in Alexandria, relaxed with GGA-PBE, using Cu Ka.
Intensities are scaled so that the largest is 100.

Cell and atoms:
```
DyErInAu
1.0
3.594 0.000 0.000
0.000 3.594 0.000
0.000 0.000 7.654
Dy Er In Au
1 1 1 1
Direct
0.000 0.000 0.000
0.000 0.000 0.538
0.500 0.500 0.270
0.500 0.500 0.760
```

Largest 12 diffraction maxima, sorted by position, 10° ≤ 2θ ≤ 80°:
- 2θ = 11.56°, d 7.654, intensity 11
- 2θ = 34.23°, d 2.620, intensity 100
- 2θ = 35.32°, d 2.541, intensity 47
- 2θ = 37.28°, d 2.412, intensity 3
- 2θ = 43.50°, d 2.080, intensity 5
- 2θ = 47.52°, d 1.913, intensity 9
- 2θ = 50.81°, d 1.797, intensity 17
- 2θ = 60.57°, d 1.529, intensity 18
- 2θ = 62.70°, d 1.482, intensity 35
- 2θ = 72.09°, d 1.310, intensity 13
- 2θ = 74.71°, d 1.271, intensity 5
- 2θ = 79.77°, d 1.202, intensity 7

The following is a calculated X-ray diffraction stick pattern of DyErIrAu. It was derived from a crystal structure in Alexandria, relaxed with GGA-PBE, using Cu Ka.
Intensities are scaled so that the largest is 100.

Cell and atoms:
```
DyErIrAu
1.0
3.503 0.000 0.000
0.000 3.503 0.000
0.000 0.000 7.013
Dy Er Ir Au
1 1 1 1
Direct
0.000 0.000 0.000
0.000 0.000 0.534
0.500 0.500 0.764
0.500 0.500 0.272
```

Largest 9 diffraction maxima, sorted by position, 10° ≤ 2θ ≤ 80°:
- 2θ = 25.42°, d 3.504, intensity 1
- 2θ = 36.26°, d 2.478, intensity 100
- 2θ = 46.72°, d 1.944, intensity 1
- 2θ = 52.21°, d 1.752, intensity 18
- 2θ = 53.93°, d 1.700, intensity 1
- 2θ = 58.93°, d 1.567, intensity 1
- 2θ = 65.22°, d 1.431, intensity 36
- 2θ = 72.62°, d 1.302, intensity 1
- 2θ = 76.97°, d 1.239, intensity 11

The following is a calculated X-ray diffraction stick pattern of DyErAu2O8. It was derived from a crystal structure in Alexandria, relaxed with GGA-PBE, using Cu Ka.
Intensities are scaled so that the largest is 100.

Cell and atoms:
```
DyErAu2O8
1.0
-2.648 2.648 5.267
2.648 -2.648 5.267
2.648 2.648 -5.267
Dy Er Au O
1 1 2 8
Direct
0.000 0.000 0.000
0.250 0.750 0.500
0.500 0.500 0.000
0.750 0.250 0.500
0.126 0.140 0.517
0.126 0.609 0.987
0.391 0.377 0.517
0.391 0.874 0.013
0.623 0.140 0.013
0.623 0.609 0.483
0.860 0.377 0.987
0.860 0.874 0.483
```

Largest 12 diffraction maxima, sorted by position, 10° ≤ 2θ ≤ 80°:
- 2θ = 29.26°, d 3.052, intensity 100
- 2θ = 33.85°, d 2.648, intensity 23
- 2θ = 34.04°, d 2.633, intensity 11
- 2θ = 48.63°, d 1.872, intensity 17
- 2θ = 48.77°, d 1.867, intensity 34
- 2θ = 57.77°, d 1.596, intensity 30
- 2θ = 58.02°, d 1.590, intensity 15
- 2θ = 60.69°, d 1.526, intensity 10
- 2θ = 71.22°, d 1.324, intensity 5
- 2θ = 71.67°, d 1.317, intensity 3
- 2θ = 78.80°, d 1.215, intensity 6
- 2θ = 79.02°, d 1.212, intensity 12

The following is a calculated X-ray diffraction stick pattern of DyErRhAu. It was derived from a crystal structure in Alexandria, relaxed with GGA-PBE, using Cu Ka.
Intensities are scaled so that the largest is 100.

Cell and atoms:
```
DyErRhAu
1.0
3.516 0.000 0.000
0.000 3.516 0.000
0.000 0.000 6.933
Dy Er Rh Au
1 1 1 1
Direct
0.000 0.000 0.000
0.000 0.000 0.525
0.500 0.500 0.760
0.500 0.500 0.267
```

Largest 12 diffraction maxima, sorted by position, 10° ≤ 2θ ≤ 80°:
- 2θ = 12.77°, d 6.933, intensity 3
- 2θ = 28.46°, d 3.136, intensity 7
- 2θ = 36.13°, d 2.486, intensity 52
- 2θ = 36.40°, d 2.469, intensity 100
- 2θ = 52.02°, d 1.758, intensity 18
- 2θ = 52.82°, d 1.733, intensity 8
- 2θ = 54.19°, d 1.693, intensity 2
- 2θ = 60.36°, d 1.533, intensity 2
- 2θ = 65.14°, d 1.432, intensity 37
- 2θ = 65.67°, d 1.422, intensity 17
- 2θ = 76.66°, d 1.243, intensity 6
- 2θ = 77.30°, d 1.234, intensity 11

The following is a calculated X-ray diffraction stick pattern of Dy2Au5F21. It was derived from a crystal structure in Alexandria, relaxed with GGA-PBE, using Cu Ka.
Intensities are scaled so that the largest is 100.

Cell and atoms:
```
Dy2Au5F21
1.0
8.075 0.000 0.000
0.178 9.229 0.000
0.265 0.174 12.080
Dy Au F
4 10 42
Direct
0.162 0.183 0.000
0.169 0.316 0.496
0.831 0.684 0.504
0.838 0.817 0.000
0.060 0.509 0.791
0.063 0.984 0.703
0.327 0.719 0.405
0.337 0.779 0.093
0.486 0.750 0.754
0.514 0.250 0.246
0.663 0.221 0.907
0.673 0.281 0.595
0.937 0.016 0.297
0.940 0.491 0.209
0.000 0.000 0.000
0.000 0.500 0.500
0.015 0.134 0.419
0.051 0.389 0.086
0.075 0.124 0.189
0.085 0.384 0.310
0.085 0.733 0.386
0.096 0.745 0.087
0.159 0.105 0.817
0.187 0.408 0.673
0.199 0.094 0.595
0.201 0.398 0.895
0.307 0.725 0.863
0.321 0.756 0.640
0.322 0.979 0.029
0.328 0.511 0.452
0.333 0.917 0.351
0.339 0.221 0.361
0.354 0.258 0.122
0.358 0.589 0.163
0.423 0.195 0.899
0.431 0.282 0.577
0.569 0.718 0.423
0.577 0.805 0.101
0.642 0.411 0.837
0.646 0.742 0.878
0.661 0.779 0.639
0.667 0.083 0.649
0.672 0.489 0.548
0.678 0.021 0.971
0.679 0.244 0.360
0.693 0.275 0.137
0.799 0.602 0.105
0.801 0.906 0.405
0.813 0.592 0.327
0.841 0.895 0.183
0.904 0.255 0.913
0.915 0.267 0.614
0.915 0.616 0.690
0.925 0.876 0.811
0.949 0.611 0.914
0.985 0.866 0.581
```

Largest 12 diffraction maxima, sorted by position, 10° ≤ 2θ ≤ 80°:
- 2θ = 19.24°, d 4.614, intensity 21
- 2θ = 22.01°, d 4.039, intensity 37
- 2θ = 22.38°, d 3.973, intensity 35
- 2θ = 23.39°, d 3.804, intensity 21
- 2θ = 23.96°, d 3.714, intensity 100
- 2θ = 24.24°, d 3.672, intensity 27
- 2θ = 24.46°, d 3.639, intensity 37
- 2θ = 24.88°, d 3.578, intensity 31
- 2θ = 26.29°, d 3.390, intensity 21
- 2θ = 26.55°, d 3.357, intensity 22
- 2θ = 26.80°, d 3.327, intensity 23
- 2θ = 26.84°, d 3.321, intensity 61